Computed powder diffraction line list of Li4Fe3Ni3Sb2O16 for Cu Kα (weighted mean of Kα1 and Kα2), from a structure optimized by DFT (GGA+U).
Intensities are scaled so that the largest is 100.

Largest 12 diffraction maxima, most intense first, 2θ = 10–80°:
2θ/deg	I/Imax
19.9	100
19.7	70
35.4	49
36.2	46
36.7	36
19.5	35
35.9	34
63.3	33
25.7	29
32.8	29
33.2	27
36.5	23

Atomic structure:
```
data_Li4Fe3Ni3Sb2O16
_chemical_formula_sum 'Li8 Fe6 Ni6 Sb4 O32'
_cell_length_a 10.1944
_cell_length_b 5.8455
_cell_length_c 9.6438
_cell_angle_alpha 90.00
_cell_angle_beta 91.40
_cell_angle_gamma 90.00
_symmetry_space_group_name_H-M 'C 1 m 1'
_symmetry_Int_Tables_number 8
_symmetry_space_group_name_Hall 'C -2y'
loop_
_atom_site_label
_atom_site_type_symbol
_atom_site_fract_x
_atom_site_fract_y
_atom_site_fract_z
_atom_site_occupancy
Li1 Li 0.0000 0.0000 0.0000 1
Li2 Li 0.0009 0.0000 0.4972 1
Li3 Li 0.1675 0.5000 0.5826 1
Li4 Li 0.3369 0.0000 0.0878 1
Fe1 Fe 0.3295 0.5000 0.2732 1
Fe2 Fe 0.4137 0.2384 0.7729 1
Ni1 Ni 0.0876 0.2583 0.2727 1
Ni2 Ni 0.1743 0.0000 0.7735 1
Sb1 Sb 0.1653 0.5000 0.0002 1
Sb2 Sb 0.3322 0.0000 0.4965 1
O1 O 0.0201 0.5000 0.1453 1
O2 O 0.0769 0.2498 0.8910 1
O3 O 0.1602 0.0000 0.3912 1
O4 O 0.1744 0.5000 0.3723 1
O5 O 0.2452 0.2771 0.1406 1
O6 O 0.2628 0.2261 0.6411 1
O7 O 0.3294 0.5000 0.8917 1
O8 O 0.3428 0.0000 0.8794 1
O9 O 0.4131 0.2544 0.3882 1
O10 O 0.4864 0.0000 0.6330 1
O11 O 0.4944 0.5000 0.6933 1
O12 O 0.4950 0.5000 0.1931 1
```